No. 1
For KTlTe3, DFT lattice parameters and positions (PBE) gives the calculated powder XRD pattern in this record (Cu Kα, 1.54184 Å).

Largest 6 diffraction maxima, low angle first, 2θ = 10–90°:
2θ (°), d (Å), intensity, (hkl)
13.7, 6.471, 48.7, 1 0 -1
15.9, 5.583, 63.1, 1 0 1
25.2, 3.531, 64.3, 2 0 -1
29.0, 3.074, 100.0, 0 1 3
30.4, 2.939, 75.2, 2 1 0
33.6, 2.664, 57.9, 0 2 0

abc: 7.142 5.328 11.444
angles: 90.00 99.39 90.00
Space group P2_1/m (No. 11)
Symmetry-distinct sites (fractional):
K: 0.151 0.250 0.368 x2
Tl: 0.383 0.750 0.899 x2
Te: 0.054 0.250 0.044 x2
Te: 0.248 0.250 0.690 x2
Te: 0.343 0.750 0.608 x2


No. 2
For CeHfSc14, DFT lattice parameters and positions (PBE) gives the calculated powder XRD pattern in this record (Cu Kα, 1.54184 Å).

Largest 6 diffraction maxima, low angle first, 2θ = 10–90°:
2θ (°), d (Å), intensity, (hkl)
17.7, 5.024, 14.6, 1 0 2
31.2, 2.868, 28.1, 0 0 4
34.6, 2.591, 23.9, 4 0 0
35.8, 2.509, 100.0, 2 2 2
47.3, 1.923, 16.8, 4 0 4
62.8, 1.480, 17.8, 6 2 2

abc: 10.366 6.614 11.488
angles: 90.00 90.00 90.00
Space group Amm2 (No. 38)
Symmetry-distinct sites (fractional):
Ce: 0.000 0.000 0.000 x2
Hf: 0.000 0.000 0.498 x2
Sc: 0.000 0.248 0.252 x4
Sc: 0.246 0.000 0.666 x4
Sc: 0.251 0.249 0.419 x8
Sc: 0.255 0.000 0.168 x4
Sc: 0.500 0.000 0.002 x2
Sc: 0.500 0.000 0.502 x2
Sc: 0.500 0.249 0.752 x4